No. 1
For Co3NiP4, the GGA-PBE geometry in OQMD gives the computed powder X-ray diffraction pattern in this record (a wavelength of 1.5418 Å).
Lines closer than 0.1° are merged.

Main lines, low angle first (10 to 80 degrees two-theta):
2theta  intensity  h k l
30.70  70  1 0 0
32.05  20  1 0 1
41.42  9  1 0 3
48.37  100  0 1 4
54.59  48  1 1 0
75.89  24  2 0 4

Atomic structure:
Unit cell a=3.3625 b=3.3625 c=9.8617 alpha=90.00 beta=90.00 gamma=120.00
Space group P-3m1 (No. 164)
Symmetry-distinct sites (fractional):
Co 0.0000 0.0000 0.0000
Co 0.0000 0.0000 0.2487
Ni 0.0000 0.0000 0.5000
P 0.3333 0.6667 0.1223
P 0.3333 0.6667 0.3693

***

No. 2
For Li4AlGa2Ni, the GGA-PBE geometry in OQMD gives the computed powder X-ray diffraction pattern in this record (a wavelength of 1.5418 Å).
Lines closer than 0.1° are merged.

Main lines, low angle first (10 to 80 degrees two-theta):
2theta  intensity  h k l
25.52  100  1 0 1
42.19  66  1 1 2
42.48  34  2 0 0
49.71  14  1 0 3
50.21  30  2 1 1
77.53  20  3 1 2

Atomic structure:
Unit cell a=4.256 b=4.256 c=6.098 alpha=90.00 beta=90.00 gamma=90.00
Space group P-4m2 (No. 115)
Symmetry-distinct sites (fractional):
Li 0.000 0.000 0.000
Li 0.000 0.500 0.732
Li 0.500 0.500 0.500
Al 0.500 0.500 0.000
Ga 0.000 0.500 0.272
Ni 0.000 0.000 0.500

***

No. 3
For PrHfCu2As4, the GGA-PBE geometry in OQMD gives the computed powder X-ray diffraction pattern in this record (a wavelength of 1.5418 Å).
Lines closer than 0.1° are merged.

Main lines, low angle first (10 to 80 degrees two-theta):
2theta  intensity  h k l
24.58  22  1 0 1
29.32  20  1 0 2
35.97  23  1 0 3
37.46  100  1 1 2
46.56  37  2 0 0
67.96  13  2 2 0

Atomic structure:
Unit cell a=3.902 b=3.902 c=9.747 alpha=90.00 beta=90.00 gamma=90.00
Space group P4mm (No. 99)
Symmetry-distinct sites (fractional):
Pr 0.000 0.000 0.000
Hf 0.500 0.500 0.461
Cu 0.000 0.500 0.718
As 0.000 0.000 0.552
As 0.000 0.500 0.252
As 0.500 0.500 0.879

***

No. 4
For LiCuIrSe2S, the GGA-PBE geometry in OQMD gives the computed powder X-ray diffraction pattern in this record (a wavelength of 1.5418 Å).
Lines closer than 0.1° are merged.

Main lines, low angle first (10 to 80 degrees two-theta):
2theta  intensity  h k l
14.54  100  0 2 0
19.12  50  0 0 2
32.73  43  1 3 0
38.18  94  1 3 2
38.81  27  0 0 4
48.89  42  0 6 2

Atomic structure:
Unit cell a=3.702 b=12.188 c=9.282 alpha=90.00 beta=90.00 gamma=90.00
Space group Cmcm (No. 63)
Symmetry-distinct sites (fractional):
Li 0.000 0.243 0.250
Cu 0.000 0.037 0.750
Ir 0.000 0.500 0.000
Se 0.000 0.142 0.533
S 0.000 0.424 0.750

***

No. 5
For LiOsNO, the GGA-PBE geometry in OQMD gives the computed powder X-ray diffraction pattern in this record (a wavelength of 1.5418 Å).
Lines closer than 0.1° are merged.

Main lines, low angle first (10 to 80 degrees two-theta):
2theta  intensity  h k l
16.18  100  0 1 0
23.84  40  0 1 1
27.61  44  1 0 0
32.17  43  1 1 0
37.26  38  0 2 1
47.00  36  1 2 1

Atomic structure:
Unit cell a=3.230 b=5.480 c=5.097 alpha=90.00 beta=90.00 gamma=90.00
Space group Pmc2_1 (No. 26)
Symmetry-distinct sites (fractional):
Li 0.000 0.122 0.000
Os 0.500 0.402 0.472
N 0.000 0.243 0.396
O 0.500 0.256 0.847

***

No. 6
For Ni9Hg2, the GGA-PBE geometry in OQMD gives the computed powder X-ray diffraction pattern in this record (a wavelength of 1.5418 Å).
Lines closer than 0.1° are merged.

Main lines, low angle first (10 to 80 degrees two-theta):
2theta  intensity  h k l
13.03  62  0 0 5
40.59  27  1 0 4
41.40  43  1 0 5
42.37  100  1 0 6
49.36  49  0 1 11
51.13  28  0 1 12

Atomic structure:
Unit cell a=2.6592 b=2.6592 c=33.9769 alpha=90.00 beta=90.00 gamma=120.00
Space group P3m1 (No. 156)
Symmetry-distinct sites (fractional):
Ni 0.0000 0.0000 0.0000
Ni 0.0000 0.0000 0.1684
Ni 0.0000 0.0000 0.3376
Ni 0.3333 0.6667 0.1129
Ni 0.3333 0.6667 0.2812
Ni 0.3333 0.6667 0.9440
Ni 0.6667 0.3333 0.0563
Ni 0.6667 0.3333 0.2249
Ni 0.6667 0.3333 0.3937
Hg 0.3333 0.6667 0.4673
Hg 0.6667 0.3333 0.8702

***

No. 7
For GdThSn, the GGA-PBE geometry in OQMD gives the computed powder X-ray diffraction pattern in this record (a wavelength of 1.5418 Å).
Lines closer than 0.1° are merged.

Main lines, low angle first (10 to 80 degrees two-theta):
2theta  intensity  h k l
20.86  18  1 1 1
24.13  32  2 0 0
34.39  100  2 2 0
49.42  18  4 0 0
55.73  13  4 2 0
61.60  38  4 2 2

Atomic structure:
Unit cell a=7.376 b=7.376 c=7.376 alpha=90.00 beta=90.00 gamma=90.00
Space group F-43m (No. 216)
Symmetry-distinct sites (fractional):
Gd 0.000 0.000 0.000
Th 0.000 0.000 0.500
Sn 0.250 0.250 0.250

***

No. 8
For Li2Ge2IrPd, the GGA-PBE geometry in OQMD gives the computed powder X-ray diffraction pattern in this record (a wavelength of 1.5418 Å).
Lines closer than 0.1° are merged.

Main lines, low angle first (10 to 80 degrees two-theta):
2theta  intensity  h k l
23.65  100  1 0 0
28.99  42  1 0 1
33.39  53  0 0 2
41.33  55  1 0 2
41.58  95  1 1 0
54.34  79  1 1 2

Atomic structure:
Unit cell a=4.3441 b=4.3441 c=5.3665 alpha=90.00 beta=90.00 gamma=120.00
Space group P-6m2 (No. 187)
Symmetry-distinct sites (fractional):
Li 0.0000 0.0000 0.2485
Ge 0.3333 0.6667 0.0000
Ge 0.6667 0.3333 0.5000
Ir 0.6667 0.3333 0.0000
Pd 0.3333 0.6667 0.5000